Simulated powder diffractogram
Compound: MgSi2Ag8O8
Radiation: copper Kα
Structure: a crystal structure in Alexandria, relaxed with PBE
Intensities are scaled so that the largest is 1000.

The 6 most intense peaks (2θ = 5–70°), in order of falling intensity:
d (Å)	intensity	(hkl)
2.883	1000	2 1 1
4.324	232	1 0 1
2.447	211	1 3 0
2.215	187	3 1 1
2.146	159	2 3 0
1.784	157	1 3 2

Structure:
```
data_MgSi2Ag8O8
_chemical_formula_sum 'Mg1 Si2 Ag8 O8'
_cell_length_a 7.7378
_cell_length_b 7.7378
_cell_length_c 5.2139
_cell_angle_alpha 90.00
_cell_angle_beta 90.00
_cell_angle_gamma 90.00
_space_group_name_H-M_alt 'P -4'
_space_group_IT_number 81
loop_
_space_group_symop_operation_xyz
'x,y,z'
'y,-x,-z'
'-x,-y,z'
'-y,x,-z'
loop_
_atom_site_label
_atom_site_type_symbol
_atom_site_fract_x
_atom_site_fract_y
_atom_site_fract_z
Mg1 Mg 0.0000 0.0000 0.0000
Si1 Si 0.0000 0.0000 0.5000
Si2 Si 0.5000 0.5000 0.0000
Ag1 Ag 0.1288 0.3727 0.1180
Ag2 Ag 0.2256 0.6269 0.4924
O1 O 0.0547 0.8448 0.2950
O2 O 0.3243 0.4634 0.8221
```

=====

Simulated powder diffractogram
Compound: Er12HgAu6
Radiation: copper Kα
Structure: a crystal structure in Alexandria, relaxed with PBE
Intensities are scaled so that the largest is 1000.

The 6 most intense peaks (2θ = 5–70°), in order of falling intensity:
d (Å)	intensity	(hkl)
2.469	1000	4 1 0
2.386	791	3 -1 4
4.008	648	3 -1 1
1.716	251	2 4 4
2.754	222	4 -1 2
1.409	205	8 -5 4

Structure:
```
data_Er12HgAu6
_chemical_formula_sum 'Er36 Hg3 Au18'
_cell_length_a 13.0630
_cell_length_b 13.0630
_cell_length_c 11.5038
_cell_angle_alpha 90.00
_cell_angle_beta 90.00
_cell_angle_gamma 120.00
_space_group_name_H-M_alt 'R -3'
_space_group_IT_number 148
_space_group_name_Hall '-R 3'
loop_
_atom_site_label
_atom_site_type_symbol
_atom_site_fract_x
_atom_site_fract_y
_atom_site_fract_z
Er1 Er 0.0341 0.8185 0.3927
Er2 Er 0.0414 0.8206 0.8938
Hg1 Hg 0.0000 0.0000 0.0000
Au1 Au 0.0459 0.7869 0.6485
```

=====

Simulated powder diffractogram
Compound: NbZn2Si
Radiation: copper Kα
Structure: a crystal structure in Alexandria, relaxed with PBE
Intensities are scaled so that the largest is 1000.

The 6 most intense peaks (2θ = 5–70°), in order of falling intensity:
d (Å)	intensity	(hkl)
2.531	1000	2 2 0
2.280	785	1 1 2
1.694	558	3 1 2
2.713	331	2 1 1
1.790	316	4 0 0
2.162	145	3 0 1

Structure:
```
data_NbZn2Si
_chemical_formula_sum 'Nb4 Zn8 Si4'
_cell_length_a 7.1590
_cell_length_b 7.1590
_cell_length_c 5.1082
_cell_angle_alpha 90.00
_cell_angle_beta 90.00
_cell_angle_gamma 90.00
_space_group_name_H-M_alt 'I -4 2 d'
_space_group_IT_number 122
_space_group_name_Hall 'I -4 2bw'
loop_
_atom_site_label
_atom_site_type_symbol
_atom_site_fract_x
_atom_site_fract_y
_atom_site_fract_z
Nb1 Nb 0.0000 0.0000 0.0000
Zn1 Zn 0.2190 0.7500 0.6250
Si1 Si 0.0000 0.0000 0.5000
```

=====

Simulated powder diffractogram
Compound: La12PrSm5
Radiation: copper Kα
Structure: a crystal structure in Alexandria, relaxed with PBE
Intensities are scaled so that the largest is 1000.

The 6 most intense peaks (2θ = 5–70°), in order of falling intensity:
d (Å)	intensity	(hkl)
3.024	1000	6 0 0
2.613	336	5 3 -1
1.854	243	7 3 1
1.577	216	11 3 -1
2.630	171	2 0 2
1.584	146	8 0 2

Structure:
```
data_La12PrSm5
_chemical_formula_sum 'La24 Pr2 Sm10'
_cell_length_a 19.2372
_cell_length_b 11.0715
_cell_length_c 6.4272
_cell_angle_alpha 90.00
_cell_angle_beta 109.22
_cell_angle_gamma 90.00
_space_group_name_H-M_alt 'C 1 2/m 1'
_space_group_IT_number 12
loop_
_space_group_symop_operation_xyz
'x,y,z'
'-x,-y,-z'
'-x,y,-z'
'x,-y,z'
'x+1/2,y+1/2,z'
'-x+1/2,-y+1/2,-z'
'-x+1/2,y+1/2,-z'
'x+1/2,-y+1/2,z'
loop_
_atom_site_label
_atom_site_type_symbol
_atom_site_fract_x
_atom_site_fract_y
_atom_site_fract_z
La1 La 0.0000 0.1677 0.0000
La2 La 0.0000 0.3302 0.5000
La3 La 0.1667 0.1687 0.8342
La4 La 0.1670 0.3308 0.3344
Pr1 Pr 0.0000 0.5000 0.0000
Sm1 Sm 0.0000 0.0000 0.5000
Sm2 Sm 0.1667 0.0000 0.3343
Sm3 Sm 0.1671 0.5000 0.8331
```

=====

Simulated powder diffractogram
Compound: BaCa2Re
Radiation: copper Kα
Structure: a crystal structure in Alexandria, relaxed with PBE
Intensities are scaled so that the largest is 1000.

The 6 most intense peaks (2θ = 5–70°), in order of falling intensity:
d (Å)	intensity	(hkl)
2.758	1000	1 1 2
6.567	895	0 0 2
2.231	399	1 1 4
2.947	327	0 2 0
2.191	295	0 0 6
3.283	249	0 0 4

Structure:
```
data_BaCa2Re
_chemical_formula_sum 'Ba2 Ca4 Re2'
_cell_length_a 3.5477
_cell_length_b 5.8936
_cell_length_c 13.1337
_cell_angle_alpha 90.00
_cell_angle_beta 90.00
_cell_angle_gamma 90.00
_space_group_name_H-M_alt 'I m m m'
_space_group_IT_number 71
_space_group_name_Hall '-I 2 2'
loop_
_atom_site_label
_atom_site_type_symbol
_atom_site_fract_x
_atom_site_fract_y
_atom_site_fract_z
Ba1 Ba 0.0000 0.0000 0.0000
Ca1 Ca 0.0000 0.5000 0.1823
Re1 Re 0.0000 0.0000 0.5000
```

=====

Simulated powder diffractogram
Compound: LaPr3Ho7
Radiation: copper Kα
Structure: a crystal structure in Alexandria, relaxed with PBE
Intensities are scaled so that the largest is 1000.

The 6 most intense peaks (2θ = 5–70°), in order of falling intensity:
d (Å)	intensity	(hkl)
2.821	1000	-1 2 1
2.774	519	2 -1 1
2.854	492	1 2 -1
2.832	318	0 2 -2
2.740	303	1 1 2
2.765	222	0 1 -3

Structure:
```
data_LaPr3Ho7
_chemical_formula_sum 'La1 Pr3 Ho7'
_cell_length_a 6.5723
_cell_length_b 6.6932
_cell_length_c 8.7012
_cell_angle_alpha 98.61
_cell_angle_beta 99.32
_cell_angle_gamma 94.87
_space_group_name_H-M_alt 'P -1'
_space_group_IT_number 2
loop_
_space_group_symop_operation_xyz
'x,y,z'
'-x,-y,-z'
loop_
_atom_site_label
_atom_site_type_symbol
_atom_site_fract_x
_atom_site_fract_y
_atom_site_fract_z
La1 La 0.0000 0.0000 0.0000
Pr1 Pr 0.2948 0.4363 0.3426
Pr2 Pr 0.5000 0.0000 0.5000
Ho1 Ho 0.0000 0.5000 0.0000
Ho2 Ho 0.0549 0.2050 0.6425
Ho3 Ho 0.2329 0.7191 0.7184
Ho4 Ho 0.4858 0.2393 0.9114
```